[1]
For LaBPd6Au, a DFT-relaxed cell (PBE, Alexandria) gives the computed X-ray powder pattern in this record (Cu Kα X-rays).

Atomic structure:
a b c (Å): 5.8099 9.2785 11.5713
angles (deg): 90.00 90.00 90.00
Space group Imma (No. 74)
Unique sites:
1 La 0.0000 0.2500 0.1860 [4 per cell]
2 B 0.0000 0.0000 0.5000 [4 per cell]
3 Pd 0.0000 0.2500 0.4641 [4 per cell]
4 Pd 0.0000 0.2500 0.9563 [4 per cell]
5 Pd 0.2484 0.0047 0.8762 [16 per cell]
6 Au 0.2500 0.2500 0.7500 [4 per cell]

Most intense lines, 10° ≤ 2θ ≤ 90°, by angle:
Position (°2θ), intensity
33.2, 52
36.0, 39
36.5, 63
36.6, 100
38.8, 77
39.8, 25
48.6, 46
68.8, 24
76.2, 24
86.0, 23

---

[2]
For MnB2Au, a DFT-relaxed cell (PBE, Alexandria) gives the computed X-ray powder pattern in this record (Cu Kα X-rays).

Atomic structure:
a b c (Å): 4.7937 4.7937 9.4057
angles (deg): 90.00 90.00 90.00
Space group I-42d (No. 122)
Unique sites:
1 Mn 0.0000 0.0000 0.0000 [4 per cell]
2 B 0.2180 0.2500 0.1250 [8 per cell]
3 Au 0.0000 0.0000 0.5000 [4 per cell]

Most intense lines, 10° ≤ 2θ ≤ 90°, by angle:
Position (°2θ), intensity
20.8, 42
32.6, 100
34.2, 14
37.5, 30
38.3, 14
43.3, 15
54.1, 13
54.7, 25
64.6, 27
65.6, 15

---

[3]
For MnBAu3, a DFT-relaxed cell (PBE, Alexandria) gives the computed X-ray powder pattern in this record (Cu Kα X-rays).

Atomic structure:
a b c (Å): 4.3791 4.3791 4.3791
angles (deg): 90.00 90.00 90.00
Space group Pm-3m (No. 221)
Unique sites:
1 Mn 0.0000 0.0000 0.0000 [1 per cell]
2 B 0.5000 0.5000 0.5000 [1 per cell]
3 Au 0.0000 0.5000 0.5000 [3 per cell]

Most intense lines, 10° ≤ 2θ ≤ 90°, by angle:
Position (°2θ), intensity
20.3, 16
28.8, 11
35.5, 100
41.2, 52
46.4, 8
51.1, 5
59.7, 35
71.4, 40
75.2, 12
89.5, 6

---

[4]
For MnBAu, a DFT-relaxed cell (PBE, Alexandria) gives the computed X-ray powder pattern in this record (Cu Kα X-rays).

Atomic structure:
a b c (Å): 2.8922 4.5085 2.8922
angles (deg): 90.00 90.00 90.00
Space group Pmm2 (No. 25)
Unique sites:
1 Mn 0.0000 0.0000 0.0000 [1 per cell]
2 B 0.5000 0.0000 0.4997 [1 per cell]
3 Au 0.5000 0.5000 0.4834 [1 per cell]

Most intense lines, 10° ≤ 2θ ≤ 90°, by angle:
Position (°2θ), intensity
19.7, 32
30.9, 30
36.9, 100
40.0, 23
44.3, 34
48.9, 14
51.4, 15
61.2, 25
70.6, 15
76.6, 24

---

[5]
For MnBAu2, a DFT-relaxed cell (PBE, Alexandria) gives the computed X-ray powder pattern in this record (Cu Kα X-rays).

Atomic structure:
a b c (Å): 7.2524 7.2524 4.7880
angles (deg): 90.00 90.00 90.00
Space group I-42d (No. 122)
Unique sites:
1 Mn 0.0000 0.0000 0.0000 [4 per cell]
2 B 0.0000 0.0000 0.5000 [4 per cell]
3 Au 0.1469 0.7500 0.6250 [8 per cell]

Most intense lines, 10° ≤ 2θ ≤ 90°, by angle:
Position (°2θ), intensity
22.2, 16
24.5, 30
33.4, 100
39.3, 29
41.6, 48
41.9, 22
49.1, 34
64.5, 17
65.6, 15
76.1, 13

---

[6]
For MnBTeAu, a DFT-relaxed cell (PBE, Alexandria) gives the computed X-ray powder pattern in this record (Cu Kα X-rays).

Atomic structure:
a b c (Å): 3.4752 3.4752 19.0570
angles (deg): 90.00 90.00 120.00
Space group R3m (No. 160, hexagonal axes)
Unique sites:
1 Mn 0.0000 0.0000 0.0000 [3 per cell]
2 B 0.0000 0.0000 0.7069 [3 per cell]
3 Te 0.0000 0.0000 0.5817 [3 per cell]
4 Au 0.0000 0.0000 0.4320 [3 per cell]

Most intense lines, 10° ≤ 2θ ≤ 90°, by angle:
Position (°2θ), intensity
28.1, 44
30.1, 99
31.2, 100
38.1, 73
44.9, 86
48.8, 23
52.7, 55
60.8, 32
71.6, 32
82.2, 19

---

[7]
For MnBTeAu2, a DFT-relaxed cell (PBE, Alexandria) gives the computed X-ray powder pattern in this record (Cu Kα X-rays).

Atomic structure:
a b c (Å): 3.0870 4.0282 7.7906
angles (deg): 85.86 79.05 67.62
Space group P1 (No. 1)
Unique sites:
1 Mn 0.0000 0.0000 0.0000 [1 per cell]
2 B 0.2868 0.4320 0.9996 [1 per cell]
3 Te 0.9741 0.0493 0.4998 [1 per cell]
4 Au 0.5923 0.5686 0.2262 [1 per cell]
5 Au 0.8398 0.5681 0.7736 [1 per cell]

Most intense lines, 10° ≤ 2θ ≤ 90°, by angle:
Position (°2θ), intensity
23.9, 20
31.9, 55
32.0, 19
33.6, 100
36.0, 18
36.2, 21
43.2, 29
43.5, 25
47.6, 17
48.9, 18

---

[8]
For B3AuN3, a DFT-relaxed cell (PBE, Alexandria) gives the computed X-ray powder pattern in this record (Cu Kα X-rays).

Atomic structure:
a b c (Å): 4.7553 4.7553 4.7553
angles (deg): 90.00 90.00 90.00
Space group Pm-3n (No. 223)
Unique sites:
1 B 0.0000 0.2500 0.5000 [6 per cell]
2 Au 0.0000 0.0000 0.0000 [2 per cell]
3 N 0.0000 0.5000 0.2500 [6 per cell]

Most intense lines, 10° ≤ 2θ ≤ 90°, by angle:
Position (°2θ), intensity
26.5, 100
37.8, 32
46.8, 69
54.6, 15
61.7, 21
68.3, 4
74.7, 34
80.9, 5
86.9, 13